The following is a computed X-ray diffraction stick pattern of Mn2BP. It was derived from DFT lattice parameters and positions (PBE), using Cu Kα, 1.54184 Å.
No peak broadening, texture or thermal motion is included.

The 5 most intense peaks (5° ≤ 2θ ≤ 70°), sorted by position:
- 29.13°, rel. 7, hkl 1 1 1
- 33.76°, rel. 36, hkl 2 0 0
- 48.49°, rel. 100, hkl 2 2 0
- 57.57°, rel. 3, hkl 3 1 1
- 60.39°, rel. 8, hkl 2 2 2

Unit cell a=5.310 b=5.310 c=5.310 alpha=90.00 beta=90.00 gamma=90.00
Space group Fm-3m (No. 225)
Asymmetric unit:
Mn: 0.250 0.250 0.250 (multiplicity 8)
B: 0.000 0.000 0.000 (multiplicity 4)
P: 0.000 0.000 0.500 (multiplicity 4)

---

The following is a computed X-ray diffraction stick pattern of MnBP. It was derived from DFT lattice parameters and positions (PBE), using Cu Kα, 1.54184 Å.
No peak broadening, texture or thermal motion is included.

The 8 most intense peaks (5° ≤ 2θ ≤ 70°), sorted by position:
- 26.77°, rel. 3, hkl 0 0 2
- 32.58°, rel. 100, hkl 1 0 1
- 42.37°, rel. 2, hkl 1 1 0
- 50.83°, rel. 62, hkl 1 1 2
- 51.07°, rel. 26, hkl 1 0 3
- 55.15°, rel. 12, hkl 0 0 4
- 61.47°, rel. 17, hkl 2 0 0
- 68.26°, rel. 1, hkl 2 0 2

Unit cell a=3.017 b=3.017 c=6.662 alpha=90.00 beta=90.00 gamma=90.00
Space group I-4m2 (No. 119)
Asymmetric unit:
Mn: 0.000 0.000 0.000 (multiplicity 2)
B: 0.000 0.500 0.750 (multiplicity 2)
P: 0.000 0.500 0.250 (multiplicity 2)

---

The following is a computed X-ray diffraction stick pattern of MnBPS2. It was derived from DFT lattice parameters and positions (PBE), using Cu Kα, 1.54184 Å.
No peak broadening, texture or thermal motion is included.

The 10 most intense peaks (5° ≤ 2θ ≤ 70°), sorted by position:
- 20.03°, rel. 100, hkl 1 0 0
- 20.48°, rel. 54, hkl 0 0 1
- 35.33°, rel. 17, hkl 1 1 1
- 40.71°, rel. 60, hkl 2 0 0
- 41.65°, rel. 28, hkl 0 0 2
- 45.77°, rel. 21, hkl 2 1 0
- 45.99°, rel. 22, hkl 2 0 1
- 46.63°, rel. 20, hkl 1 0 2
- 58.94°, rel. 18, hkl 2 2 0
- 59.66°, rel. 35, hkl 2 0 2

Unit cell a=4.432 b=4.432 c=4.336 alpha=90.00 beta=90.00 gamma=90.00
Space group P4/mmm (No. 123)
Asymmetric unit:
Mn: 0.000 0.000 0.000 (multiplicity 1)
B: 0.500 0.500 0.500 (multiplicity 1)
P: 0.000 0.000 0.500 (multiplicity 1)
S: 0.000 0.500 0.000 (multiplicity 2)

---

The following is a computed X-ray diffraction stick pattern of Mn5BPd15. It was derived from DFT lattice parameters and positions (PBE), using Cu Kα, 1.54184 Å.
No peak broadening, texture or thermal motion is included.

The 10 most intense peaks (5° ≤ 2θ ≤ 70°), sorted by position:
- 21.98°, rel. 5, hkl 1 0 0
- 23.09°, rel. 2, hkl 0 0 5
- 31.28°, rel. 2, hkl 1 1 0
- 32.09°, rel. 3, hkl 1 0 5
- 39.24°, rel. 100, hkl 1 1 5
- 42.30°, rel. 2, hkl 0 0 9
- 44.82°, rel. 35, hkl 2 0 0
- 47.19°, rel. 14, hkl 0 0 10
- 65.25°, rel. 11, hkl 2 2 0
- 67.12°, rel. 18, hkl 2 0 10

Unit cell a=4.044 b=4.044 c=19.259 alpha=90.00 beta=90.00 gamma=90.00
Space group P4/mmm (No. 123)
Asymmetric unit:
Mn: 0.000 0.000 0.000 (multiplicity 1)
Mn: 0.000 0.000 0.196 (multiplicity 2)
Mn: 0.000 0.000 0.390 (multiplicity 2)
B: 0.500 0.500 0.500 (multiplicity 1)
Pd: 0.000 0.500 0.098 (multiplicity 4)
Pd: 0.000 0.500 0.294 (multiplicity 4)
Pd: 0.000 0.500 0.500 (multiplicity 2)
Pd: 0.500 0.500 0.000 (multiplicity 1)
Pd: 0.500 0.500 0.195 (multiplicity 2)
Pd: 0.500 0.500 0.393 (multiplicity 2)

---

The following is a computed X-ray diffraction stick pattern of MnBPd4. It was derived from DFT lattice parameters and positions (PBE), using Cu Kα, 1.54184 Å.
No peak broadening, texture or thermal motion is included.

The 10 most intense peaks (5° ≤ 2θ ≤ 70°), sorted by position:
- 24.08°, rel. 18, hkl 2 0 0
- 34.32°, rel. 31, hkl 2 2 0
- 34.60°, rel. 100, hkl 2 0 2
- 38.52°, rel. 52, hkl 3 1 0
- 39.08°, rel. 21, hkl 1 0 3
- 46.00°, rel. 12, hkl 3 2 1
- 46.16°, rel. 20, hkl 3 1 2
- 46.44°, rel. 17, hkl 2 1 3
- 49.32°, rel. 15, hkl 4 0 0
- 58.77°, rel. 29, hkl 3 3 2

Unit cell a=7.391 b=7.391 c=7.277 alpha=90.00 beta=90.00 gamma=90.00
Space group I4_1md (No. 109)
Asymmetric unit:
Mn: 0.000 0.000 0.000 (multiplicity 4)
B: 0.000 0.000 0.524 (multiplicity 4)
Pd: 0.000 0.182 0.306 (multiplicity 8)
Pd: 0.000 0.202 0.724 (multiplicity 8)

---

The following is a computed X-ray diffraction stick pattern of PmMnB14. It was derived from DFT lattice parameters and positions (PBE), using Cu Kα, 1.54184 Å.
No peak broadening, texture or thermal motion is included.

The 10 most intense peaks (5° ≤ 2θ ≤ 70°), sorted by position:
- 16.41°, rel. 100, hkl 0 2 0
- 18.54°, rel. 36, hkl 1 0 1
- 24.85°, rel. 74, hkl 1 2 1
- 27.60°, rel. 84, hkl 1 1 2
- 33.46°, rel. 100, hkl 2 1 1
- 36.41°, rel. 60, hkl 1 3 2
- 39.69°, rel. 35, hkl 1 2 3
- 41.17°, rel. 85, hkl 2 3 1
- 53.86°, rel. 27, hkl 2 5 1
- 56.98°, rel. 25, hkl 2 2 4

Unit cell a=5.857 b=10.804 c=8.305 alpha=90.00 beta=90.00 gamma=90.00
Space group Imma (No. 74)
Asymmetric unit:
Pm: 0.000 0.250 0.128 (multiplicity 4)
Mn: 0.250 0.250 0.750 (multiplicity 4)
B: 0.000 0.084 0.669 (multiplicity 8)
B: 0.000 0.128 0.867 (multiplicity 8)
B: 0.000 0.166 0.469 (multiplicity 8)
B: 0.160 0.060 0.340 (multiplicity 16)
B: 0.249 0.077 0.548 (multiplicity 16)

---

The following is a computed X-ray diffraction stick pattern of PmMnB4. It was derived from DFT lattice parameters and positions (PBE), using Cu Kα, 1.54184 Å.
No peak broadening, texture or thermal motion is included.

The 10 most intense peaks (5° ≤ 2θ ≤ 70°), sorted by position:
- 21.31°, rel. 24, hkl 1 2 0
- 25.57°, rel. 66, hkl 0 0 1
- 27.45°, rel. 34, hkl 1 3 0
- 30.82°, rel. 84, hkl 2 1 0
- 33.52°, rel. 22, hkl 1 2 1
- 37.86°, rel. 38, hkl 1 3 1
- 40.46°, rel. 100, hkl 2 1 1
- 43.31°, rel. 24, hkl 1 4 1
- 46.35°, rel. 21, hkl 2 3 1
- 62.15°, rel. 23, hkl 2 1 2

Unit cell a=5.995 b=11.600 c=3.484 alpha=90.00 beta=90.00 gamma=90.00
Space group Pbam (No. 55)
Asymmetric unit:
Pm: 0.124 0.151 0.000 (multiplicity 4)
Mn: 0.126 0.417 0.000 (multiplicity 4)
B: 0.025 0.689 0.500 (multiplicity 4)
B: 0.111 0.545 0.500 (multiplicity 4)
B: 0.141 0.967 0.500 (multiplicity 4)
B: 0.223 0.818 0.500 (multiplicity 4)

---

The following is a computed X-ray diffraction stick pattern of MnReB2Pt. It was derived from DFT lattice parameters and positions (PBE), using Cu Kα, 1.54184 Å.
No peak broadening, texture or thermal motion is included.

The 10 most intense peaks (5° ≤ 2θ ≤ 70°), sorted by position:
- 29.00°, rel. 100, hkl 1 0 1
- 31.27°, rel. 70, hkl 1 1 0
- 36.68°, rel. 3, hkl 1 1 1
- 37.92°, rel. 24, hkl 0 0 2
- 44.80°, rel. 30, hkl 2 0 0
- 49.94°, rel. 39, hkl 1 1 2
- 54.26°, rel. 37, hkl 2 1 1
- 60.11°, rel. 25, hkl 2 0 2
- 63.11°, rel. 12, hkl 1 0 3
- 65.22°, rel. 10, hkl 2 2 0

Unit cell a=4.046 b=4.046 c=4.745 alpha=90.00 beta=90.00 gamma=90.00
Space group P4/mmm (No. 123)
Asymmetric unit:
Mn: 0.000 0.000 0.000 (multiplicity 1)
Re: 0.000 0.000 0.500 (multiplicity 1)
B: 0.000 0.500 0.500 (multiplicity 2)
Pt: 0.500 0.500 0.000 (multiplicity 1)

---

The following is a computed X-ray diffraction stick pattern of Pu2MnB2Ru5. It was derived from DFT lattice parameters and positions (PBE), using Cu Kα, 1.54184 Å.
No peak broadening, texture or thermal motion is included.

The 10 most intense peaks (5° ≤ 2θ ≤ 70°), sorted by position:
- 20.69°, rel. 37, hkl 2 1 0
- 34.56°, rel. 21, hkl 2 0 1
- 35.85°, rel. 100, hkl 2 1 1
- 38.68°, rel. 92, hkl 4 1 0
- 39.48°, rel. 26, hkl 2 2 1
- 39.85°, rel. 30, hkl 3 3 0
- 41.75°, rel. 73, hkl 3 1 1
- 42.10°, rel. 21, hkl 4 2 0
- 44.98°, rel. 23, hkl 3 2 1
- 59.96°, rel. 22, hkl 0 0 2

Unit cell a=9.598 b=9.598 c=3.085 alpha=90.00 beta=90.00 gamma=90.00
Space group P4/mbm (No. 127)
Asymmetric unit:
Pu: 0.177 0.323 0.000 (multiplicity 4)
Mn: 0.000 0.000 0.000 (multiplicity 2)
B: 0.123 0.623 0.000 (multiplicity 4)
Ru: 0.000 0.500 0.500 (multiplicity 2)
Ru: 0.070 0.782 0.500 (multiplicity 8)

---

The following is a computed X-ray diffraction stick pattern of Rb2MnBS4. It was derived from DFT lattice parameters and positions (PBE), using Cu Kα, 1.54184 Å.
No peak broadening, texture or thermal motion is included.

The 10 most intense peaks (5° ≤ 2θ ≤ 70°), sorted by position:
- 15.27°, rel. 21, hkl 0 0 4
- 20.65°, rel. 22, hkl 1 1 3
- 25.74°, rel. 61, hkl 1 3 1
- 26.59°, rel. 67, hkl 0 2 6
- 27.96°, rel. 64, hkl 1 3 3
- 32.02°, rel. 100, hkl 1 3 5
- 34.66°, rel. 24, hkl 2 2 0
- 39.71°, rel. 29, hkl 2 0 6
- 48.37°, rel. 25, hkl 2 4 6
- 52.22°, rel. 25, hkl 2 6 0

Unit cell a=5.607 b=13.460 c=23.194 alpha=90.00 beta=90.00 gamma=90.00
Space group Fddd (No. 70, origin choice 2)
Asymmetric unit:
Rb: 0.125 0.125 0.302 (multiplicity 16)
Mn: 0.125 0.125 0.125 (multiplicity 8)
B: 0.125 0.125 0.625 (multiplicity 8)
S: 0.082 0.290 0.829 (multiplicity 32)

---

The following is a computed X-ray diffraction stick pattern of MnReB. It was derived from DFT lattice parameters and positions (PBE), using Cu Kα, 1.54184 Å.
No peak broadening, texture or thermal motion is included.

The 10 most intense peaks (5° ≤ 2θ ≤ 70°), sorted by position:
- 23.65°, rel. 87, hkl 0 0 4
- 26.15°, rel. 30, hkl 0 2 2
- 29.44°, rel. 35, hkl 1 1 3
- 38.10°, rel. 44, hkl 1 1 5
- 41.40°, rel. 100, hkl 1 3 1
- 42.89°, rel. 79, hkl 2 0 2
- 43.13°, rel. 40, hkl 0 2 6
- 44.91°, rel. 55, hkl 1 3 3
- 48.63°, rel. 24, hkl 1 1 7
- 53.96°, rel. 31, hkl 2 2 4

Unit cell a=4.393 b=7.645 c=15.050 alpha=90.00 beta=90.00 gamma=90.00
Space group Fddd (No. 70, origin choice 2)
Asymmetric unit:
Mn: 0.125 0.125 0.041 (multiplicity 16)
Re: 0.125 0.294 0.625 (multiplicity 16)
B: 0.125 0.125 0.500 (multiplicity 16)

---

The following is a computed X-ray diffraction stick pattern of MnReB. It was derived from DFT lattice parameters and positions (PBE), using Cu Kα, 1.54184 Å.
No peak broadening, texture or thermal motion is included.

The 10 most intense peaks (5° ≤ 2θ ≤ 70°), sorted by position:
- 23.79°, rel. 54, hkl 0 2 0
- 25.99°, rel. 37, hkl 1 1 1
- 33.72°, rel. 27, hkl 0 2 2
- 40.22°, rel. 37, hkl 2 0 0
- 42.92°, rel. 100, hkl 1 1 3
- 43.20°, rel. 49, hkl 1 3 1
- 47.26°, rel. 22, hkl 2 2 0
- 48.68°, rel. 11, hkl 0 4 0
- 53.46°, rel. 19, hkl 2 2 2
- 55.78°, rel. 18, hkl 1 3 3

Unit cell a=4.484 b=7.482 c=7.556 alpha=90.00 beta=90.00 gamma=90.00
Space group Fmmm (No. 69)
Asymmetric unit:
Mn: 0.000 0.171 0.000 (multiplicity 8)
Re: 0.000 0.000 0.335 (multiplicity 8)
B: 0.250 0.250 0.250 (multiplicity 8)

---

The following is a computed X-ray diffraction stick pattern of Mn2B2S7. It was derived from DFT lattice parameters and positions (PBE), using Cu Kα, 1.54184 Å.
No peak broadening, texture or thermal motion is included.

The 10 most intense peaks (5° ≤ 2θ ≤ 70°), sorted by position:
- 15.80°, rel. 33, hkl 1 1 0
- 16.51°, rel. 31, hkl 0 0 1
- 24.29°, rel. 92, hkl 0 2 1
- 25.76°, rel. 40, hkl 1 1 1
- 29.81°, rel. 41, hkl 1 3 0
- 35.65°, rel. 68, hkl 2 0 -2
- 36.29°, rel. 100, hkl 1 3 1
- 39.93°, rel. 31, hkl 2 2 1
- 47.20°, rel. 30, hkl 3 3 -1
- 49.48°, rel. 31, hkl 2 0 2

Unit cell a=7.118 b=10.028 c=5.648 alpha=90.00 beta=108.12 gamma=90.00
Space group C2/m (No. 12)
Asymmetric unit:
Mn: 0.000 0.186 0.000 (multiplicity 4)
B: 0.239 0.500 0.367 (multiplicity 4)
S: 0.000 0.500 0.500 (multiplicity 2)
S: 0.170 0.000 0.267 (multiplicity 4)
S: 0.233 0.165 0.768 (multiplicity 8)